1.
Diffraction record for BaSrAsSe2. The X-ray powder pattern is simulated, not measured: it uses the PBE geometry in Alexandria and Cu Ka.
Neutral-atom scattering factors, no anomalous dispersion.

Main lines, sorted by position (2θ from 10° to 80°):
21.9 deg, rel. 20, hkl 1 1 0
22.2 deg, rel. 42, hkl 1 0 1
27.2 deg, rel. 100, hkl 1 1 1
31.2 deg, rel. 93, hkl 2 0 0
32.1 deg, rel. 43, hkl 0 0 2
38.6 deg, rel. 20, hkl 2 1 1
44.6 deg, rel. 34, hkl 2 2 0
45.4 deg, rel. 65, hkl 2 0 2
53.1 deg, rel. 30, hkl 3 1 1
56.1 deg, rel. 34, hkl 2 2 2

Structure:
Lattice parameters (Å, degrees): 5.740 5.740 5.573 90.00 90.00 90.00
Space group P4/mmm (No. 123)
One atom of each set of equivalent atoms:
Ba: 0.000 0.000 0.000
Sr: 0.500 0.500 0.500
As: 0.500 0.500 0.000
Se: 0.000 0.500 0.500

2.
Diffraction record for Ba13Si6Sn8As22. The X-ray powder pattern is simulated, not measured: it uses the PBE geometry in Alexandria and Cu Ka.
Neutral-atom scattering factors, no anomalous dispersion.

Main lines, sorted by position (2θ from 10° to 80°):
21.4 deg, rel. 26, hkl 2 2 2
27.2 deg, rel. 41, hkl 1 1 4
29.3 deg, rel. 100, hkl 3 2 3
30.2 deg, rel. 28, hkl 4 2 2
31.1 deg, rel. 91, hkl 5 1 0
32.3 deg, rel. 35, hkl 3 1 4
34.6 deg, rel. 34, hkl 4 4 0
35.7 deg, rel. 26, hkl 4 0 4
47.2 deg, rel. 21, hkl 6 2 4
51.4 deg, rel. 24, hkl 5 5 4

Structure:
Lattice parameters (Å, degrees): 14.655 14.655 13.857 90.00 90.00 90.00
Space group I-42m (No. 121)
One atom of each set of equivalent atoms:
Ba: 0.000 0.000 0.000
Ba: 0.126 0.368 0.416
Ba: 0.167 0.167 0.671
Si: 0.000 0.500 0.250
Si: 0.084 0.084 0.401
Sn: 0.050 0.227 0.168
As: 0.000 0.000 0.284
As: 0.000 0.187 0.500
As: 0.092 0.398 0.656
As: 0.169 0.169 0.027
As: 0.179 0.179 0.303

3.
Diffraction record for Ba2SmUAs4. The X-ray powder pattern is simulated, not measured: it uses the PBE geometry in Alexandria and Cu Ka.
Neutral-atom scattering factors, no anomalous dispersion.

Main lines, sorted by position (2θ from 10° to 80°):
11.8 deg, rel. 17, hkl 0 0 1
23.8 deg, rel. 14, hkl 0 0 2
24.8 deg, rel. 18, hkl 1 1 -1
28.5 deg, rel. 100, hkl 1 1 1
28.6 deg, rel. 49, hkl 2 0 -2
40.0 deg, rel. 34, hkl 1 1 -3
40.2 deg, rel. 17, hkl 2 0 2
41.2 deg, rel. 19, hkl 0 2 0
41.5 deg, rel. 37, hkl 3 1 -1
50.9 deg, rel. 23, hkl 2 2 -2

Structure:
Lattice parameters (Å, degrees): 7.511 4.383 7.884 90.00 108.64 90.00
Space group P2/m (No. 10)
One atom of each set of equivalent atoms:
Ba: 0.000 0.000 0.000
Ba: 0.500 0.500 0.000
Sm: 0.000 0.500 0.500
U: 0.500 0.000 0.500
As: 0.252 0.000 0.707
As: 0.278 0.500 0.299

4.
Diffraction record for Ba4SnAs4. The X-ray powder pattern is simulated, not measured: it uses the PBE geometry in Alexandria and Cu Ka.
Neutral-atom scattering factors, no anomalous dispersion.

Main lines, sorted by position (2θ from 10° to 80°):
24.2 deg, rel. 47, hkl 2 1 1
25.0 deg, rel. 27, hkl 0 0 2
26.3 deg, rel. 100, hkl 2 2 0
26.7 deg, rel. 35, hkl 1 0 2
32.7 deg, rel. 31, hkl 2 1 2
36.6 deg, rel. 85, hkl 2 2 2
37.5 deg, rel. 67, hkl 4 0 0
42.5 deg, rel. 25, hkl 3 2 2
54.1 deg, rel. 21, hkl 4 4 0
67.1 deg, rel. 24, hkl 6 2 2

Structure:
Lattice parameters (Å, degrees): 9.585 9.585 7.112 90.00 90.00 90.00
Space group P4_2/nmc (No. 137, origin choice 2)
One atom of each set of equivalent atoms:
Ba: 0.019 0.250 0.072
Sn: 0.250 0.750 0.250
As: 0.019 0.750 0.460

5.
Diffraction record for Ba3SnAs4. The X-ray powder pattern is simulated, not measured: it uses the PBE geometry in Alexandria and Cu Ka.
Neutral-atom scattering factors, no anomalous dispersion.

Main lines, sorted by position (2θ from 10° to 80°):
25.3 deg, rel. 100, hkl 2 2 0
27.5 deg, rel. 42, hkl 1 0 3
28.6 deg, rel. 26, hkl 1 1 3
30.9 deg, rel. 73, hkl 2 3 0
31.0 deg, rel. 48, hkl 3 0 1
31.7 deg, rel. 48, hkl 0 4 0
31.8 deg, rel. 41, hkl 1 2 3
32.2 deg, rel. 42, hkl 2 3 1
36.3 deg, rel. 46, hkl 2 2 3
44.9 deg, rel. 30, hkl 3 4 1

Structure:
Lattice parameters (Å, degrees): 8.998 11.303 10.434 90.00 90.00 90.00
Space group Pnma (No. 62)
One atom of each set of equivalent atoms:
Ba: 0.047 0.053 0.187
Ba: 0.157 0.750 0.407
Sn: 0.231 0.250 0.453
As: 0.028 0.750 0.096
As: 0.126 0.035 0.535
As: 0.192 0.750 0.713

6.
Diffraction record for Ba3SrAs3. The X-ray powder pattern is simulated, not measured: it uses the PBE geometry in Alexandria and Cu Ka.
Neutral-atom scattering factors, no anomalous dispersion.

Main lines, sorted by position (2θ from 10° to 80°):
25.4 deg, rel. 9, hkl 2 2 0
28.4 deg, rel. 100, hkl 3 0 1
33.8 deg, rel. 63, hkl 3 1 2
42.7 deg, rel. 8, hkl 3 3 2
44.7 deg, rel. 18, hkl 4 2 2
46.6 deg, rel. 29, hkl 4 3 1
57.2 deg, rel. 24, hkl 6 1 1
58.8 deg, rel. 12, hkl 6 0 2
60.4 deg, rel. 15, hkl 5 4 1
69.5 deg, rel. 15, hkl 7 2 1

Structure:
Lattice parameters (Å, degrees): 9.933 9.933 9.933 90.00 90.00 90.00
Space group P2_13 (No. 198)
One atom of each set of equivalent atoms:
Ba: 0.068 0.432 0.568
Ba: 0.181 0.181 0.181
Ba: 0.181 0.819 0.319
Sr: 0.067 0.567 0.933
As: 0.000 0.256 0.870

7.
Diffraction record for Ba3SrAs. The X-ray powder pattern is simulated, not measured: it uses the PBE geometry in Alexandria and Cu Ka.
Neutral-atom scattering factors, no anomalous dispersion.

Main lines, sorted by position (2θ from 10° to 80°):
13.5 deg, rel. 24, hkl 1 0 0
23.5 deg, rel. 100, hkl 1 1 1
27.3 deg, rel. 100, hkl 2 0 0
38.9 deg, rel. 77, hkl 2 2 0
46.0 deg, rel. 49, hkl 3 1 1
48.2 deg, rel. 27, hkl 2 2 2
61.8 deg, rel. 21, hkl 3 3 1
63.6 deg, rel. 36, hkl 4 2 0
70.5 deg, rel. 27, hkl 4 2 2
75.5 deg, rel. 16, hkl 5 1 1

Structure:
Lattice parameters (Å, degrees): 6.544 6.544 6.544 90.00 90.00 90.00
Space group Pm-3m (No. 221)
One atom of each set of equivalent atoms:
Ba: 0.000 0.000 0.500
Sr: 0.500 0.500 0.500
As: 0.000 0.000 0.000

8.
Diffraction record for BaSr2As6. The X-ray powder pattern is simulated, not measured: it uses the PBE geometry in Alexandria and Cu Ka.
Neutral-atom scattering factors, no anomalous dispersion.

Main lines, sorted by position (2θ from 10° to 80°):
29.9 deg, rel. 100, hkl 1 1 1
30.2 deg, rel. 37, hkl 2 1 -1
38.0 deg, rel. 23, hkl 0 0 3
38.7 deg, rel. 21, hkl 3 0 0
38.9 deg, rel. 23, hkl 3 0 -3
41.1 deg, rel. 20, hkl 0 2 0
49.4 deg, rel. 13, hkl 2 1 -4
50.2 deg, rel. 14, hkl 4 1 -2
57.1 deg, rel. 14, hkl 0 2 3
57.8 deg, rel. 14, hkl 3 2 -3

Structure:
Lattice parameters (Å, degrees): 7.989 4.397 8.140 90.00 119.12 90.00
Space group P2/m (No. 10)
One atom of each set of equivalent atoms:
Ba: 0.000 0.000 0.000
Sr: 0.329 0.000 0.672
As: 0.036 0.500 0.363
As: 0.345 0.500 0.339
As: 0.354 0.500 0.013

9.
Diffraction record for BaTcAs2. The X-ray powder pattern is simulated, not measured: it uses the PBE geometry in Alexandria and Cu Ka.
Neutral-atom scattering factors, no anomalous dispersion.

Main lines, sorted by position (2θ from 10° to 80°):
26.1 deg, rel. 27, hkl 0 0 2
28.0 deg, rel. 25, hkl 1 1 0
28.4 deg, rel. 23, hkl 2 0 -2
28.8 deg, rel. 35, hkl 1 1 -1
32.5 deg, rel. 65, hkl 2 0 1
33.0 deg, rel. 35, hkl 1 1 1
35.1 deg, rel. 100, hkl 1 1 -2
43.4 deg, rel. 65, hkl 3 1 -1
51.3 deg, rel. 23, hkl 0 2 0
62.1 deg, rel. 20, hkl 2 2 1

Structure:
Lattice parameters (Å, degrees): 7.731 3.559 7.402 90.00 112.64 90.00
Space group Cm (No. 8)
One atom of each set of equivalent atoms:
Ba: 0.000 0.000 0.000
Tc: 0.212 0.000 0.533
As: 0.062 0.500 0.663
As: 0.334 0.500 0.343

10.
Diffraction record for Ba2Te5As. The X-ray powder pattern is simulated, not measured: it uses the PBE geometry in Alexandria and Cu Ka.
Neutral-atom scattering factors, no anomalous dispersion.

Main lines, sorted by position (2θ from 10° to 80°):
20.0 deg, rel. 16, hkl 1 1 -1
25.1 deg, rel. 23, hkl 1 1 -2
25.2 deg, rel. 22, hkl 2 0 -1
29.6 deg, rel. 100, hkl 0 2 0
30.5 deg, rel. 46, hkl 0 0 2
30.9 deg, rel. 45, hkl 2 -2 0
43.9 deg, rel. 16, hkl -2 2 2
44.0 deg, rel. 16, hkl 2 -2 2
54.1 deg, rel. 17, hkl 2 -4 0
67.1 deg, rel. 17, hkl 4 2 -4

Structure:
Lattice parameters (Å, degrees): 7.301 7.306 7.354 111.49 111.66 104.98
Space group P1 (No. 1)
One atom of each set of equivalent atoms:
Ba: 0.000 0.000 0.000
Ba: 0.488 0.516 0.004
Te: 0.354 0.875 0.544
Te: 0.513 0.501 0.504
Te: 0.514 0.027 0.018
Te: 0.978 0.492 0.006
Te: 0.987 0.032 0.503
As: 0.690 0.210 0.557

11.
Diffraction record for BaTh2As3. The X-ray powder pattern is simulated, not measured: it uses the PBE geometry in Alexandria and Cu Ka.
Neutral-atom scattering factors, no anomalous dispersion.

Main lines, sorted by position (2θ from 10° to 80°):
24.7 deg, rel. 18, hkl 0 1 3
25.0 deg, rel. 17, hkl 1 1 0
28.7 deg, rel. 100, hkl 0 2 0
40.7 deg, rel. 12, hkl 0 0 6
41.1 deg, rel. 51, hkl 1 2 3
41.5 deg, rel. 13, hkl 2 0 0
50.6 deg, rel. 13, hkl 0 2 6
51.2 deg, rel. 14, hkl 2 2 0
67.3 deg, rel. 12, hkl 1 4 3
67.4 deg, rel. 11, hkl 2 2 6

Structure:
Lattice parameters (Å, degrees): 4.352 6.225 13.290 90.00 90.00 90.00
Space group Immm (No. 71)
One atom of each set of equivalent atoms:
Ba: 0.000 0.000 0.000
Th: 0.000 0.000 0.336
As: 0.000 0.500 0.000
As: 0.000 0.500 0.316

What is the formula in the sixth record? Ba3SrAs3